[1]
CeTlGaCl6: calculated PXRD pattern (Cu Kα (λ = 1.5418 Å)), based on the PBE geometry in Alexandria.
No peak broadening, texture or thermal motion is included.

Principal peaks in the range 10° ≤ 2θ ≤ 90°, sorted by position:
2θ = 14.43°, intensity 17, (1 0 1); 2θ = 18.06°, intensity 100, (1 1 0); 2θ = 24.03°, intensity 63, (1 0 3); 2θ = 27.29°, intensity 14, (1 1 3); 2θ = 35.43°, intensity 81, (2 1 3); 2θ = 36.59°, intensity 29, (2 2 0); 2θ = 41.10°, intensity 17, (3 1 0); 2θ = 44.26°, intensity 32, (3 0 3); 2θ = 45.36°, intensity 18, (1 1 6); 2θ = 58.73°, intensity 15, (4 1 3)

Cell: 6.945 6.945 13.136 Å, 90.00 90.00 90.00°
Space group P4_2nm (No. 102)
Symmetry-distinct sites (fractional):
Ce  0.000  0.000  0.000
Tl  0.000  0.000  0.337
Ga  0.000  0.000  0.673
Cl  0.175  0.175  0.844
Cl  0.193  0.193  0.141
Cl  0.232  0.232  0.508


[2]
Y4Ho5Th3: calculated PXRD pattern (Cu Kα (λ = 1.5418 Å)), based on the PBE geometry in Alexandria.
No peak broadening, texture or thermal motion is included.

Principal peaks in the range 10° ≤ 2θ ≤ 90°, sorted by position:
2θ = 12.39°, intensity 39, (2 0 -1); 2θ = 24.92°, intensity 33, (4 0 -2); 2θ = 28.99°, intensity 29, (2 0 -3); 2θ = 29.99°, intensity 100, (0 2 0); 2θ = 31.04°, intensity 52, (4 0 1); 2θ = 32.12°, intensity 64, (5 1 -1); 2θ = 33.09°, intensity 87, (5 1 -2); 2θ = 33.55°, intensity 61, (1 1 -3); 2θ = 42.17°, intensity 40, (2 2 -3); 2θ = 43.70°, intensity 45, (4 2 1)

Cell: 15.822 5.960 9.245 Å, 90.00 115.09 90.00°
Space group C2/m (No. 12)
Symmetry-distinct sites (fractional):
Y  0.084  0.000  0.443
Y  0.212  0.000  0.876
Ho  0.000  0.500  0.000
Ho  0.071  0.500  0.694
Ho  0.211  0.000  0.234
Th  0.000  0.000  0.000
Th  0.172  0.500  0.387